(1)
The following is a calculated XRD peak list of K6MnBr12. It was derived from a DFT-relaxed cell (PBE, Alexandria), using Cu Kα (λ = 1.5418 Å).
Kinematic intensities with the Lorentz-polarization factor, no thermal factor.

Most intense lines, 2θ = 10–90°, in order of rising 2θ:
2θ/deg, Rel. int.
14.78, 25
16.33, 37
20.93, 36
23.71, 56
26.70, 30
28.03, 32
30.19, 34
32.64, 100
34.87, 58
40.07, 51

Structure:
Cell lengths 9.128, 9.128, 9.128 Å; angles 96.45, 96.45, 96.45 degrees
Sites, in units of the cell vectors:
K: 0.156 0.280 0.628
K: 0.280 0.628 0.156
K: 0.372 0.844 0.720
K: 0.628 0.156 0.280
K: 0.720 0.372 0.844
K: 0.844 0.720 0.372
Mn: 0.000 0.000 0.000
Br: 0.015 0.947 0.730
Br: 0.053 0.270 0.985
Br: 0.158 0.587 0.473
Br: 0.270 0.985 0.053
Br: 0.413 0.527 0.842
Br: 0.473 0.158 0.587
Br: 0.527 0.842 0.413
Br: 0.587 0.473 0.158
Br: 0.730 0.015 0.947
Br: 0.842 0.413 0.527
Br: 0.947 0.730 0.015
Br: 0.985 0.053 0.270

=====

(2)
The following is a calculated XRD peak list of LaMg11Cu. It was derived from a DFT-relaxed cell (PBE, Alexandria), using Cu Kα (λ = 1.5418 Å).
Kinematic intensities with the Lorentz-polarization factor, no thermal factor.

Most intense lines, 2θ = 10–90°, in order of rising 2θ:
2θ/deg, Rel. int.
12.21, 79
18.00, 57
24.61, 73
25.06, 34
27.58, 39
30.24, 56
35.08, 76
35.38, 42
35.79, 100
36.46, 50

Structure:
Cell lengths 7.788, 7.788, 7.683 Å; angles 97.17, 97.17, 137.10 degrees
Sites, in units of the cell vectors:
La: 0.000 0.000 0.000
Mg: 0.000 0.000 0.500
Mg: 0.000 0.500 0.000
Mg: 0.008 0.353 0.359
Mg: 0.299 0.507 0.778
Mg: 0.353 0.008 0.359
Mg: 0.493 0.701 0.222
Mg: 0.500 0.000 0.000
Mg: 0.507 0.299 0.778
Mg: 0.647 0.992 0.641
Mg: 0.701 0.493 0.222
Mg: 0.992 0.647 0.641
Cu: 0.500 0.500 0.500

=====

(3)
The following is a calculated XRD peak list of Pr7Y6. It was derived from a DFT-relaxed cell (PBE, Alexandria), using Cu Kα (λ = 1.5418 Å).
Kinematic intensities with the Lorentz-polarization factor, no thermal factor.

Most intense lines, 2θ = 10–90°, in order of rising 2θ:
2θ/deg, Rel. int.
29.73, 34
30.53, 32
30.76, 100
30.94, 58
31.99, 58
33.43, 80
35.76, 40
50.50, 33
54.53, 32
54.84, 49

Structure:
Cell lengths 12.334, 12.334, 12.334 Å; angles 31.50, 31.50, 31.50 degrees
Sites, in units of the cell vectors:
Pr: 0.000 0.000 0.000
Pr: 0.094 0.094 0.576
Pr: 0.094 0.576 0.094
Pr: 0.424 0.906 0.906
Pr: 0.576 0.094 0.094
Pr: 0.906 0.424 0.906
Pr: 0.906 0.906 0.424
Y: 0.165 0.165 0.165
Y: 0.353 0.353 0.353
Y: 0.454 0.454 0.454
Y: 0.546 0.546 0.546
Y: 0.647 0.647 0.647
Y: 0.835 0.835 0.835

=====

(4)
The following is a calculated XRD peak list of Pm2Mg2Si. It was derived from a DFT-relaxed cell (PBE, Alexandria), using Cu Kα (λ = 1.5418 Å).
Kinematic intensities with the Lorentz-polarization factor, no thermal factor.

Most intense lines, 2θ = 10–90°, in order of rising 2θ:
2θ/deg, Rel. int.
23.36, 100
29.41, 28
32.51, 31
33.68, 62
34.01, 39
41.74, 35
46.64, 22
52.80, 22
58.75, 25
64.36, 19

Structure:
Cell lengths 9.518, 9.518, 9.518 Å; angles 156.39, 156.39, 33.64 degrees
Sites, in units of the cell vectors:
Pm: 0.083 0.083 0.000
Pm: 0.917 0.917 0.000
Mg: 0.250 0.750 0.500
Mg: 0.750 0.250 0.500
Si: 0.500 0.500 0.000

=====

(5)
The following is a calculated XRD peak list of Li9Ti12NbO30. It was derived from a DFT-relaxed cell (PBE, Alexandria), using Cu Kα (λ = 1.5418 Å).
Kinematic intensities with the Lorentz-polarization factor, no thermal factor.

Most intense lines, 2θ = 10–90°, in order of rising 2θ:
2θ/deg, Rel. int.
22.36, 100
26.68, 20
34.37, 56
34.93, 36
39.95, 32
49.82, 33
52.64, 47
62.29, 23
62.65, 27
72.51, 12

Structure:
Cell lengths 23.806, 23.806, 23.806 Å; angles 12.39, 12.39, 12.39 degrees
Sites, in units of the cell vectors:
Li: 0.000 0.000 0.000
Li: 0.051 0.051 0.051
Li: 0.135 0.135 0.135
Li: 0.281 0.281 0.281
Li: 0.417 0.417 0.417
Li: 0.499 0.499 0.499
Li: 0.551 0.551 0.551
Li: 0.636 0.636 0.636
Li: 0.781 0.781 0.781
Ti: 0.187 0.187 0.187
Ti: 0.229 0.229 0.229
Ti: 0.321 0.321 0.321
Ti: 0.363 0.363 0.363
Ti: 0.459 0.459 0.459
Ti: 0.593 0.593 0.593
Ti: 0.687 0.687 0.687
Ti: 0.729 0.729 0.729
Ti: 0.821 0.821 0.821
Ti: 0.863 0.863 0.863
Ti: 0.921 0.921 0.921
Ti: 0.960 0.960 0.960
Nb: 0.093 0.093 0.093
O: 0.019 0.640 0.264
O: 0.019 0.674 0.429
O: 0.028 0.377 0.620
O: 0.038 0.404 0.783
O: 0.121 0.876 0.530
O: 0.143 0.521 0.760
O: 0.157 0.771 0.398
O: 0.175 0.519 0.930
O: 0.258 0.901 0.566
O: 0.263 0.659 0.899
O: 0.264 0.019 0.640
O: 0.377 0.620 0.028
O: 0.398 0.157 0.771
O: 0.404 0.783 0.038
O: 0.429 0.019 0.674
O: 0.519 0.930 0.175
O: 0.521 0.760 0.143
O: 0.530 0.121 0.876
O: 0.566 0.258 0.901
O: 0.620 0.028 0.377
O: 0.640 0.264 0.019
O: 0.659 0.899 0.263
O: 0.674 0.429 0.019
O: 0.760 0.143 0.521
O: 0.771 0.398 0.157
O: 0.783 0.038 0.404
O: 0.876 0.530 0.121
O: 0.899 0.263 0.659
O: 0.901 0.566 0.258
O: 0.930 0.175 0.519